Entry 1:
Simulated powder XRD pattern of Ca2CuCl2O2 for Cu Kα, from the GGA-PBE geometry in the Materials Project.

Structure:
```
7
Lattice="-1.940 1.940 7.652 1.940 -1.940 7.652 1.940 1.940 -7.652" Properties=species:S:1:pos:R:3 pbc="T T T"
Ca 0.000 0.000 1.586
Ca 0.000 0.000 13.718
Cu 0.000 0.000 7.652
Cl 0.000 0.000 4.861
Cl 0.000 0.000 10.443
O 1.940 0.000 0.000
O 0.000 1.940 0.000
```

Main lines, in order of rising 2θ (2θ from 10° to 90°):
- 11.56°, I = 58
- 23.65°, I = 7
- 32.64°, I = 60
- 35.18°, I = 7
- 37.42°, I = 100
- 46.83°, I = 36
- 61.42°, I = 41
- 68.38°, I = 10
- 70.45°, I = 7
- 77.85°, I = 8
- 79.82°, I = 9
- 80.64°, I = 9

Entry 2:
Simulated powder XRD pattern of Li4ZrO4 for Cu Kα, from the GGA-PBE geometry in the Materials Project.

Structure:
```
36
Lattice="5.577 0.000 0.000 0.000 14.713 0.000 -2.487 0.000 4.941" Properties=species:S:1:pos:R:3 pbc="T T T"
Li 0.293 1.648 1.246
Li -0.951 5.709 3.717
Li -0.372 3.355 3.185
Li 0.871 4.001 0.714
Li 0.646 10.437 1.447
Li -0.598 11.633 3.918
Li -0.512 0.024 3.934
Li 0.731 7.332 1.464
Li 2.358 7.381 3.478
Li 3.602 14.689 1.007
Li 3.687 3.080 1.023
Li 2.444 4.276 3.494
Li 2.218 10.712 4.227
Li 3.462 11.358 1.756
Li 4.040 9.004 1.224
Li 2.797 13.065 3.695
Zr -0.538 8.875 4.228
Zr 0.706 13.195 1.758
Zr 2.384 1.518 3.183
Zr 3.627 5.838 0.713
O 0.146 8.803 0.159
O -1.097 13.267 2.630
O -0.929 10.061 2.675
O 0.315 12.009 0.205
O 1.615 0.164 1.007
O 0.372 7.192 3.478
O 1.322 2.939 2.298
O 0.078 4.417 4.769
O 3.011 10.296 0.172
O 1.768 11.774 2.643
O 2.718 7.521 1.464
O 1.474 14.549 3.934
O 2.775 2.704 4.736
O 4.018 4.653 2.266
O 4.187 1.447 2.312
O 2.943 5.910 4.782
```

Main lines, in order of rising 2θ (2θ from 10° to 90°):
- 18.81°, I = 71
- 18.95°, I = 62
- 19.72°, I = 100
- 21.67°, I = 58
- 24.20°, I = 27
- 25.49°, I = 78
- 26.18°, I = 27
- 33.06°, I = 25
- 34.45°, I = 34
- 35.50°, I = 28
- 38.07°, I = 26
- 40.88°, I = 34

Entry 3:
Simulated powder XRD pattern of PrCoC2 for Cu Kα, from the GGA-PBE geometry in the Materials Project.

Structure:
```
8
Lattice="2.708 -2.709 0.000 2.708 2.709 0.000 -1.543 0.000 7.271" Properties=species:S:1:pos:R:3 pbc="T T T"
Pr 1.937 2.315 3.636
Pr 2.708 -2.315 0.000
Co 2.718 0.377 1.411
Co 1.946 -0.377 5.046
C 0.592 0.979 5.623
C 1.178 0.410 6.731
C 1.363 -0.979 1.987
C 1.950 -0.410 3.096
```

Main lines, in order of rising 2θ (2θ from 10° to 90°):
- 23.49°, I = 34
- 24.48°, I = 35
- 28.13°, I = 27
- 31.48°, I = 100
- 33.07°, I = 29
- 33.84°, I = 67
- 35.36°, I = 62
- 36.72°, I = 90
- 37.64°, I = 32
- 47.80°, I = 37
- 48.04°, I = 21
- 52.51°, I = 23

Entry 4:
Simulated powder XRD pattern of RbSO2 for Cu Kα, from the GGA-PBE geometry in the Materials Project.

Structure:
```
16
Lattice="8.171 0.000 0.000 0.000 6.460 0.000 0.000 0.000 7.465" Properties=species:S:1:pos:R:3 pbc="T T T"
Rb 1.167 1.615 1.061
Rb 2.918 4.845 4.794
Rb 5.253 1.615 2.671
Rb 7.004 4.845 6.404
S 0.860 1.615 4.861
S 3.226 4.845 1.128
S 4.945 1.615 6.337
S 7.311 4.845 2.604
O 0.905 0.351 5.719
O 0.905 2.879 5.719
O 3.181 3.581 1.986
O 3.181 6.109 1.986
O 4.990 0.351 5.479
O 4.990 2.879 5.479
O 7.267 3.581 1.746
O 7.267 6.109 1.746
```

Main lines, in order of rising 2θ (2θ from 10° to 90°):
- 21.19°, I = 18
- 23.84°, I = 15
- 25.80°, I = 100
- 26.25°, I = 38
- 27.62°, I = 22
- 29.73°, I = 48
- 37.48°, I = 18
- 38.47°, I = 32
- 43.45°, I = 22
- 50.17°, I = 21
- 57.00°, I = 14
- 70.67°, I = 13

Entry 5:
Simulated powder XRD pattern of NbCrGe for Cu Kα, from the GGA-PBE geometry in the Materials Project.

Structure:
```
12
Lattice="7.811 0.000 0.000 0.000 2.518 4.534 0.000 -2.518 4.534" Properties=species:S:1:pos:R:3 pbc="T T T"
Nb 1.407 0.000 0.000
Nb 2.393 0.000 6.081
Nb 5.418 0.000 6.081
Nb 6.403 0.000 0.000
Cr 0.000 -1.240 2.298
Cr 0.000 1.240 2.298
Cr 1.906 0.000 2.979
Cr 5.904 0.000 2.979
Ge 0.000 0.000 4.638
Ge 3.905 0.000 1.496
Ge 3.905 -1.281 3.799
Ge 3.905 1.281 3.799
```

Main lines, in order of rising 2θ (2θ from 10° to 90°):
- 34.61°, I = 31
- 35.66°, I = 18
- 39.93°, I = 30
- 40.24°, I = 67
- 41.00°, I = 15
- 41.47°, I = 39
- 41.83°, I = 85
- 42.69°, I = 100
- 46.51°, I = 15
- 68.28°, I = 19
- 73.01°, I = 22
- 74.48°, I = 22